Computed powder diffractogram
Compound: KCeIn4O8
Radiation: Cu Kα (weighted mean of Kα1 and Kα2)
Structure: a DFT-relaxed cell (GGA-PBE, Alexandria)
No peak broadening, texture or thermal motion is included.

Cell and atoms:
```
KCeIn4O8
1.0
3.3777 1.9501 5.6834
-3.3777 1.9501 5.6834
0.0000 -3.9003 5.6834
K Ce In O
1 1 4 8
direct
0.0000 0.0000 0.0000 K
0.6329 0.6329 0.6329 Ce
0.1235 0.6308 0.6308 In
0.2531 0.2531 0.2531 In
0.6308 0.1235 0.6308 In
0.6308 0.6308 0.1235 In
0.3825 0.3825 0.8531 O
0.3825 0.8531 0.3825 O
0.3943 0.3943 0.3943 O
0.4395 0.8592 0.8592 O
0.8531 0.3825 0.3825 O
0.8553 0.8553 0.8553 O
0.8592 0.4395 0.8592 O
0.8592 0.8592 0.4395 O
```

Principal peaks in the range 2θ from 5° to 70°, by angle:
16.02°, intensity 53; 26.39°, intensity 20; 30.34°, intensity 53; 30.79°, intensity 100; 31.02°, intensity 38; 31.48°, intensity 16; 32.36°, intensity 46; 37.28°, intensity 46; 49.10°, intensity 34; 49.41°, intensity 27; 53.17°, intensity 43; 54.32°, intensity 41